Entry 1:
Starting from a GGA-PBE-relaxed structure, the powder diffraction line list of HfMn8Tc3 was simulated for Cu Ka.

Main lines, by angle (2θ from 10° to 80°):
24.65 deg, rel. 13.6; 31.81 deg, rel. 13.5; 38.21 deg, rel. 58.5; 41.30 deg, rel. 100.0; 44.41 deg, rel. 15.0; 45.01 deg, rel. 94.6; 46.00 deg, rel. 62.0; 71.16 deg, rel. 34.9; 73.83 deg, rel. 20.5; 77.18 deg, rel. 24.9

Cell and atoms:
```
HfMn8Tc3
1.0
4.711 0.000 0.000
-2.356 4.080 0.000
0.000 0.000 7.768
Hf Mn Tc
1 8 3
Direct
0.000 0.000 0.000
0.162 0.324 0.684
0.162 0.838 0.684
0.333 0.667 0.443
0.333 0.667 0.943
0.506 0.012 0.194
0.506 0.494 0.194
0.676 0.838 0.684
0.988 0.494 0.194
0.000 0.000 0.377
0.667 0.333 0.506
0.667 0.333 0.863
```

---

Entry 2:
Starting from a GGA-PBE-relaxed structure, the powder diffraction line list of CePr2HfAs4 was simulated for Cu Ka.

Main lines, by angle (2θ from 10° to 80°):
26.30 deg, rel. 14.9; 30.42 deg, rel. 100.0; 43.47 deg, rel. 36.3; 43.65 deg, rel. 37.2; 53.83 deg, rel. 6.1; 54.14 deg, rel. 19.4; 63.25 deg, rel. 7.8; 71.66 deg, rel. 10.3; 71.94 deg, rel. 11.0; 72.06 deg, rel. 5.3

Cell and atoms:
```
CePr2HfAs4
1.0
7.181 0.000 0.000
0.000 4.148 0.000
-2.372 0.000 6.813
Ce Pr Hf As
1 2 1 4
Direct
0.000 0.000 0.000
0.000 0.500 0.500
0.500 0.000 0.500
0.500 0.500 0.000
0.257 0.500 0.233
0.269 0.000 0.775
0.731 0.000 0.225
0.743 0.500 0.767
```

---

Entry 3:
Starting from a GGA-PBE-relaxed structure, the powder diffraction line list of Tl5Sn4Pb2 was simulated for Cu Ka.

Main lines, by angle (2θ from 10° to 80°):
28.59 deg, rel. 31.9; 29.64 deg, rel. 58.8; 31.31 deg, rel. 100.0; 32.66 deg, rel. 86.2; 32.85 deg, rel. 85.1; 33.27 deg, rel. 79.0; 33.92 deg, rel. 72.9; 35.06 deg, rel. 33.3; 42.29 deg, rel. 27.2; 51.36 deg, rel. 31.1

Cell and atoms:
```
Tl5Sn4Pb2
1.0
3.559 0.000 0.000
-0.018 9.266 0.000
-1.573 -1.974 10.239
Tl Sn Pb
5 4 2
Direct
0.000 0.000 0.000
0.106 0.507 0.215
0.168 0.906 0.325
0.832 0.094 0.675
0.894 0.493 0.785
0.372 0.803 0.752
0.487 0.300 0.971
0.513 0.700 0.029
0.628 0.197 0.248
0.252 0.341 0.503
0.748 0.659 0.497
```

---

Entry 4:
Starting from a GGA-PBE-relaxed structure, the powder diffraction line list of SmAgPd4 was simulated for Cu Ka.

Main lines, by angle (2θ from 10° to 80°):
37.68 deg, rel. 100.0; 42.21 deg, rel. 18.2; 42.37 deg, rel. 18.0; 46.67 deg, rel. 13.3; 61.35 deg, rel. 11.7; 64.73 deg, rel. 14.7; 74.14 deg, rel. 6.6; 74.19 deg, rel. 6.6; 74.32 deg, rel. 6.6; 74.47 deg, rel. 6.5

Cell and atoms:
```
SmAgPd4
1.0
5.839 -2.141 0.000
5.839 2.141 0.000
-0.013 0.000 4.266
Sm Ag Pd
1 1 4
Direct
0.000 0.000 0.000
0.500 0.500 0.500
0.173 0.173 0.500
0.331 0.331 0.000
0.669 0.669 0.000
0.827 0.827 0.500
```

---

Entry 5:
Starting from a GGA-PBE-relaxed structure, the powder diffraction line list of Er2Mg6Sc was simulated for Cu Ka.

Main lines, by angle (2θ from 10° to 80°):
11.40 deg, rel. 42.1; 19.81 deg, rel. 84.7; 22.92 deg, rel. 10.4; 30.06 deg, rel. 10.3; 34.30 deg, rel. 100.0; 34.68 deg, rel. 66.5; 40.25 deg, rel. 14.0; 49.57 deg, rel. 34.9; 61.89 deg, rel. 29.6; 68.67 deg, rel. 14.6

Cell and atoms:
```
Er2Mg6Sc
1.0
7.752 -4.486 0.000
7.752 4.486 0.000
-0.006 0.000 3.219
Er Mg Sc
2 6 1
Direct
0.167 0.167 0.000
0.833 0.833 0.000
0.171 0.500 0.501
0.171 0.829 0.500
0.500 0.171 0.501
0.500 0.829 0.499
0.829 0.171 0.500
0.829 0.500 0.499
0.500 0.500 0.000
```

---

Entry 6:
Starting from a GGA-PBE-relaxed structure, the powder diffraction line list of Sr21In8Pb7 was simulated for Cu Ka.

Main lines, by angle (2θ from 10° to 80°):
17.42 deg, rel. 47.0; 21.97 deg, rel. 24.9; 26.25 deg, rel. 46.4; 28.63 deg, rel. 58.3; 29.97 deg, rel. 61.7; 30.41 deg, rel. 100.0; 33.31 deg, rel. 62.6; 39.23 deg, rel. 51.9; 43.54 deg, rel. 43.6; 62.04 deg, rel. 28.1

Cell and atoms:
```
Sr21In8Pb7
1.0
0.000 8.819 8.819
8.819 0.000 8.819
8.819 8.819 0.000
Sr In Pb
21 8 7
Direct
0.000 0.000 0.000
0.128 0.128 0.128
0.128 0.128 0.615
0.128 0.615 0.128
0.182 0.500 0.500
0.182 0.500 0.818
0.182 0.818 0.500
0.385 0.872 0.872
0.500 0.182 0.500
0.500 0.182 0.818
0.500 0.500 0.182
0.500 0.500 0.818
0.500 0.818 0.182
0.500 0.818 0.500
0.615 0.128 0.128
0.818 0.182 0.500
0.818 0.500 0.182
0.818 0.500 0.500
0.872 0.385 0.872
0.872 0.872 0.385
0.872 0.872 0.872
0.067 0.311 0.311
0.311 0.067 0.311
0.311 0.311 0.067
0.311 0.311 0.311
0.689 0.689 0.689
0.689 0.689 0.933
0.689 0.933 0.689
0.933 0.689 0.689
0.213 0.213 0.787
0.213 0.787 0.213
0.213 0.787 0.787
0.500 0.500 0.500
0.787 0.213 0.213
0.787 0.213 0.787
0.787 0.787 0.213
```

---

> Which formula does entry 4 have?

SmAgPd4